No. 1
Computed powder XRD pattern
Compound: GaSbH2
Radiation: CuKα
Structure: a crystal structure in Alexandria, relaxed with PBE

Atomic structure:
Unit cell a=4.2546 b=4.2582 c=10.6424 alpha=86.79 beta=86.90 gamma=67.29
Sites, in units of the cell vectors:
1 Ga 0.0000 0.0000 0.0000
2 Ga 0.4847 0.4834 0.1608
3 Sb 0.1229 0.1210 0.2528
4 Sb 0.6561 0.6563 0.9080
5 H 0.2457 0.3621 0.6692
6 H 0.3297 0.2558 0.6135
7 H 0.6130 0.7317 0.4875
8 H 0.7252 0.6562 0.5426

Top 10 peaks for 2θ = 10–90°, sorted by position:
3.725 Å, 23.9 deg, rel. 55; 3.637 Å, 24.5 deg, rel. 67; 3.538 Å, 25.2 deg, rel. 100; 3.212 Å, 27.8 deg, rel. 43; 2.358 Å, 38.2 deg, rel. 46; 2.237 Å, 40.3 deg, rel. 49; 2.162 Å, 41.8 deg, rel. 48; 2.045 Å, 44.3 deg, rel. 40; 2.001 Å, 45.3 deg, rel. 41; 1.962 Å, 46.3 deg, rel. 38


No. 2
Computed powder XRD pattern
Compound: Li3In4Hg4
Radiation: CuKα
Structure: a crystal structure in Alexandria, relaxed with PBE

Atomic structure:
Unit cell a=3.4406 b=4.8837 c=15.2379 alpha=99.20 beta=95.80 gamma=90.66
Sites, in units of the cell vectors:
1 Li 0.0000 0.0000 0.0000
2 Li 0.3514 0.3574 0.7117
3 Li 0.6486 0.6426 0.2883
4 In 0.2289 0.7284 0.4590
5 In 0.4286 0.9185 0.8343
6 In 0.5714 0.0815 0.1657
7 In 0.7711 0.2716 0.5410
8 Hg 0.0419 0.5497 0.1015
9 Hg 0.1654 0.1674 0.3382
10 Hg 0.8346 0.8326 0.6618
11 Hg 0.9581 0.4503 0.8985

Top 10 peaks for 2θ = 10–90°, sorted by position:
4.386 Å, 20.2 deg, rel. 98; 3.740 Å, 23.8 deg, rel. 39; 3.418 Å, 26.1 deg, rel. 32; 2.994 Å, 29.8 deg, rel. 41; 2.469 Å, 36.4 deg, rel. 36; 2.449 Å, 36.7 deg, rel. 73; 2.442 Å, 36.8 deg, rel. 68; 2.432 Å, 37.0 deg, rel. 38; 2.377 Å, 37.9 deg, rel. 100; 1.720 Å, 53.3 deg, rel. 32


No. 3
Computed powder XRD pattern
Compound: Cs3Hg12Au4
Radiation: CuKα
Structure: a crystal structure in Alexandria, relaxed with PBE

Atomic structure:
Unit cell a=9.6646 b=9.6646 c=9.6646 alpha=109.75 beta=109.75 gamma=109.75
Sites, in units of the cell vectors:
1 Cs 0.0000 0.5000 0.5000
2 Cs 0.5000 0.0000 0.5000
3 Cs 0.5000 0.5000 0.0000
4 Hg 0.0000 0.2397 0.7603
5 Hg 0.0000 0.7603 0.2397
6 Hg 0.2397 0.0000 0.7603
7 Hg 0.2397 0.7603 0.0000
8 Hg 0.2409 0.2409 0.4821
9 Hg 0.2409 0.4821 0.2409
10 Hg 0.4821 0.2409 0.2409
11 Hg 0.5179 0.7591 0.7591
12 Hg 0.7591 0.5179 0.7591
13 Hg 0.7591 0.7591 0.5179
14 Hg 0.7603 0.0000 0.2397
15 Hg 0.7603 0.2397 0.0000
16 Au 0.0000 0.0000 0.5000
17 Au 0.0000 0.5000 0.0000
18 Au 0.5000 0.0000 0.0000
19 Au 0.5000 0.5000 0.5000

Top 10 peaks for 2θ = 10–90°, sorted by position:
5.560 Å, 15.9 deg, rel. 58; 3.221 Å, 27.7 deg, rel. 45; 2.780 Å, 32.2 deg, rel. 100; 2.497 Å, 36.0 deg, rel. 17; 2.476 Å, 36.3 deg, rel. 17; 1.976 Å, 45.9 deg, rel. 37; 1.956 Å, 46.4 deg, rel. 36; 1.611 Å, 57.2 deg, rel. 19; 1.249 Å, 76.3 deg, rel. 16; 1.238 Å, 77.0 deg, rel. 15


No. 4
Computed powder XRD pattern
Compound: NaTbCd2
Radiation: CuKα
Structure: a crystal structure in Alexandria, relaxed with PBE

Atomic structure:
Unit cell a=5.5014 b=5.5014 c=3.4564 alpha=90.00 beta=90.00 gamma=90.00
Sites, in units of the cell vectors:
1 Na 0.0000 0.0000 0.0000
2 Tb 0.5000 0.5000 0.0000
3 Cd 0.0000 0.5000 0.5000
4 Cd 0.5000 0.0000 0.5000

Top 10 peaks for 2θ = 10–90°, sorted by position:
5.501 Å, 16.1 deg, rel. 34; 2.927 Å, 30.5 deg, rel. 15; 2.751 Å, 32.6 deg, rel. 60; 2.584 Å, 34.7 deg, rel. 100; 2.004 Å, 45.2 deg, rel. 10; 1.945 Å, 46.7 deg, rel. 21; 1.554 Å, 59.5 deg, rel. 41; 1.463 Å, 63.6 deg, rel. 16; 1.292 Å, 73.3 deg, rel. 11; 1.230 Å, 77.6 deg, rel. 9


No. 5
Computed powder XRD pattern
Compound: AcPm2Dy6
Radiation: CuKα
Structure: a crystal structure in Alexandria, relaxed with PBE

Atomic structure:
Unit cell a=9.3365 b=9.3365 c=9.3365 alpha=43.41 beta=43.41 gamma=43.41
Sites, in units of the cell vectors:
1 Ac 0.0000 0.0000 0.0000
2 Pm 0.5857 0.5857 0.5857
3 Pm 0.7571 0.7571 0.7571
4 Dy 0.0461 0.0461 0.5604
5 Dy 0.0461 0.5604 0.0461
6 Dy 0.2854 0.2854 0.7783
7 Dy 0.2854 0.7783 0.2854
8 Dy 0.5604 0.0461 0.0461
9 Dy 0.7783 0.2854 0.2854

Top 10 peaks for 2θ = 10–90°, sorted by position:
8.442 Å, 10.5 deg, rel. 41; 3.196 Å, 27.9 deg, rel. 32; 3.096 Å, 28.8 deg, rel. 25; 2.970 Å, 30.1 deg, rel. 67; 2.814 Å, 31.8 deg, rel. 35; 2.704 Å, 33.1 deg, rel. 100; 2.575 Å, 34.8 deg, rel. 90; 1.801 Å, 50.7 deg, rel. 24; 1.726 Å, 53.0 deg, rel. 39; 1.472 Å, 63.2 deg, rel. 29